No. 1
Th4Te3H2: computed X-ray diffraction stick pattern (Cu Kα (λ = 1.5418 Å)), based on a crystal structure in Alexandria, relaxed with PBE.

Largest 10 diffraction maxima, sorted by position, 5° ≤ 2θ ≤ 70°:
25.2 deg, I = 38.0, (0 0 2); 28.2 deg, I = 100.0, (3 1 1); 29.3 deg, I = 45.5, (3 1 -2); 31.3 deg, I = 70.0, (1 3 -1); 31.6 deg, I = 77.1, (4 0 -2); 32.8 deg, I = 85.7, (1 3 1); 35.1 deg, I = 52.8, (5 1 0); 35.5 deg, I = 66.4, (3 3 -1); 37.2 deg, I = 45.7, (2 2 2); 38.1 deg, I = 49.6, (1 1 -3)

Atomic structure:
```
data_Th4Te3H2
_cell_length_a 13.7840
_cell_length_b 9.3719
_cell_length_c 7.3471
_cell_angle_alpha 90.00
_cell_angle_beta 105.72
_cell_angle_gamma 90.00
_symmetry_space_group_name_H-M 'C 1 2/c 1'
_symmetry_Int_Tables_number 15
loop_
_symmetry_equiv_pos_as_xyz
'x,y,z'
'-x,-y,-z'
'-x,y,-z+1/2'
'x,-y,z+1/2'
'x+1/2,y+1/2,z'
'-x+1/2,-y+1/2,-z'
'-x+1/2,y+1/2,-z+1/2'
'x+1/2,-y+1/2,z+1/2'
loop_
_atom_site_label
_atom_site_type_symbol
_atom_site_fract_x
_atom_site_fract_y
_atom_site_fract_z
_atom_site_occupancy
Th1 Th 0.0904 0.2383 0.4663 1
Th2 Th 0.2007 0.4191 0.1136 1
Te1 Te 0.0000 0.4530 0.7500 1
Te2 Te 0.1253 0.0937 0.0962 1
H1 H 0.2285 0.3689 0.4429 1
```



No. 2
Th2Te3H2: computed X-ray diffraction stick pattern (Cu Kα (λ = 1.5418 Å)), based on a crystal structure in Alexandria, relaxed with PBE.

Largest 10 diffraction maxima, sorted by position, 5° ≤ 2θ ≤ 70°:
19.2 deg, I = 31.9, (0 0 4); 21.9 deg, I = 64.4, (1 0 1); 29.5 deg, I = 83.5, (1 1 0); 31.1 deg, I = 45.1, (1 1 2); 31.6 deg, I = 100.0, (0 1 5); 32.4 deg, I = 36.4, (1 0 5); 35.5 deg, I = 95.3, (1 1 4); 40.4 deg, I = 38.7, (1 0 7); 41.0 deg, I = 36.6, (0 2 0); 54.8 deg, I = 42.4, (2 1 5)

Atomic structure:
```
data_Th2Te3H2
_cell_length_a 4.1571
_cell_length_b 4.4068
_cell_length_c 18.5158
_cell_angle_alpha 90.00
_cell_angle_beta 90.00
_cell_angle_gamma 90.00
_symmetry_space_group_name_H-M 'I m m m'
_symmetry_Int_Tables_number 71
_symmetry_space_group_name_Hall '-I 2 2'
loop_
_atom_site_label
_atom_site_type_symbol
_atom_site_fract_x
_atom_site_fract_y
_atom_site_fract_z
_atom_site_occupancy
Th1 Th 0.0000 0.0000 0.1257 1
Te1 Te 0.0000 0.0000 0.3084 1
Te2 Te 0.0000 0.5000 0.0000 1
H1 H 0.0000 0.5000 0.4188 1
```



No. 3
TlTe2H8: computed X-ray diffraction stick pattern (Cu Kα (λ = 1.5418 Å)), based on a crystal structure in Alexandria, relaxed with PBE.

Largest 10 diffraction maxima, sorted by position, 5° ≤ 2θ ≤ 70°:
13.4 deg, I = 100.0, (0 0 1); 21.6 deg, I = 23.6, (1 0 1); 24.3 deg, I = 15.0, (-1 1 1); 29.1 deg, I = 19.9, (0 2 1); 29.7 deg, I = 14.4, (1 1 -1); 31.4 deg, I = 16.1, (0 2 0); 31.5 deg, I = 14.6, (-1 1 2); 31.8 deg, I = 15.7, (1 0 2); 37.9 deg, I = 19.8, (2 1 0); 38.8 deg, I = 15.4, (2 -1 0)

Atomic structure:
```
data_TlTe2H8
_cell_length_a 5.1555
_cell_length_b 6.1601
_cell_length_c 7.1608
_cell_angle_alpha 67.87
_cell_angle_beta 87.96
_cell_angle_gamma 87.70
_symmetry_space_group_name_H-M 'P -1'
_symmetry_Int_Tables_number 2
loop_
_symmetry_equiv_pos_as_xyz
'x,y,z'
'-x,-y,-z'
loop_
_atom_site_label
_atom_site_type_symbol
_atom_site_fract_x
_atom_site_fract_y
_atom_site_fract_z
_atom_site_occupancy
Tl1 Tl 0.0000 0.0000 0.0000 1
Te1 Te 0.2554 0.5341 0.9050 1
H1 H 0.0321 0.9492 0.5413 1
H2 H 0.2368 0.6342 0.4405 1
H3 H 0.2627 0.6026 0.3493 1
H4 H 0.4830 0.9483 0.5471 1
```



No. 4
Tl2Te2H5: computed X-ray diffraction stick pattern (Cu Kα (λ = 1.5418 Å)), based on a crystal structure in Alexandria, relaxed with PBE.

Largest 10 diffraction maxima, sorted by position, 5° ≤ 2θ ≤ 70°:
9.8 deg, I = 34.2, (2 0 0); 19.9 deg, I = 86.8, (1 1 -1); 24.2 deg, I = 36.0, (3 1 -1); 24.6 deg, I = 56.5, (3 1 1); 28.1 deg, I = 42.3, (0 0 2); 28.7 deg, I = 39.9, (2 2 0); 29.7 deg, I = 62.4, (2 0 -2); 31.3 deg, I = 75.1, (5 1 -1); 31.8 deg, I = 100.0, (5 1 1); 39.4 deg, I = 44.1, (0 2 2)

Atomic structure:
```
data_Tl2Te2H5
_cell_length_a 18.0721
_cell_length_b 6.6160
_cell_length_c 6.3425
_cell_angle_alpha 90.00
_cell_angle_beta 91.26
_cell_angle_gamma 90.00
_symmetry_space_group_name_H-M 'C 1 2 1'
_symmetry_Int_Tables_number 5
loop_
_symmetry_equiv_pos_as_xyz
'x,y,z'
'-x,y,-z'
'x+1/2,y+1/2,z'
'-x+1/2,y+1/2,-z'
loop_
_atom_site_label
_atom_site_type_symbol
_atom_site_fract_x
_atom_site_fract_y
_atom_site_fract_z
_atom_site_occupancy
Tl1 Tl 0.0967 0.0000 0.0301 1
Tl2 Tl 0.1056 0.6115 0.5304 1
Te1 Te 0.0000 0.0875 0.5000 1
Te2 Te 0.0000 0.5158 0.0000 1
Te3 Te 0.2426 0.8578 0.2944 1
H1 H 0.0026 0.2973 0.6939 1
H2 H 0.0048 0.7434 0.1816 1
H3 H 0.1663 0.3766 0.1653 1
H4 H 0.1866 0.3223 0.2547 1
H5 H 0.2418 0.1695 0.8797 1
```



No. 5
Tl3TeH3: computed X-ray diffraction stick pattern (Cu Kα (λ = 1.5418 Å)), based on a crystal structure in Alexandria, relaxed with PBE.

Largest 10 diffraction maxima, sorted by position, 5° ≤ 2θ ≤ 70°:
21.1 deg, I = 35.4, (0 0 2); 25.2 deg, I = 44.6, (-1 1 1); 26.8 deg, I = 100.0, (1 2 0); 29.0 deg, I = 77.1, (-1 1 2); 29.3 deg, I = 45.9, (1 2 2); 30.0 deg, I = 93.4, (2 1 1); 30.2 deg, I = 88.6, (1 -1 1); 31.9 deg, I = 71.9, (0 0 3); 36.2 deg, I = 55.2, (2 1 -2); 48.0 deg, I = 33.1, (3 0 -1)

Atomic structure:
```
data_Tl3TeH3
_cell_length_a 6.2996
_cell_length_b 7.0063
_cell_length_c 8.8601
_cell_angle_alpha 73.17
_cell_angle_beta 88.77
_cell_angle_gamma 65.39
_symmetry_space_group_name_H-M 'P -1'
_symmetry_Int_Tables_number 2
loop_
_symmetry_equiv_pos_as_xyz
'x,y,z'
'-x,-y,-z'
loop_
_atom_site_label
_atom_site_type_symbol
_atom_site_fract_x
_atom_site_fract_y
_atom_site_fract_z
_atom_site_occupancy
Tl1 Tl 0.0622 0.2636 0.1942 1
Tl2 Tl 0.3039 0.0929 0.7960 1
Tl3 Tl 0.3643 0.5775 0.1587 1
Te1 Te 0.1877 0.5616 0.4996 1
H1 H 0.0779 0.3415 0.9079 1
H2 H 0.3117 0.6282 0.9036 1
H3 H 0.3819 0.8633 0.1118 1
```



No. 6
Tm4Te5H: computed X-ray diffraction stick pattern (Cu Kα (λ = 1.5418 Å)), based on a crystal structure in Alexandria, relaxed with PBE.

Largest 10 diffraction maxima, sorted by position, 5° ≤ 2θ ≤ 70°:
8.1 deg, I = 22.5, (0 0 1); 16.5 deg, I = 55.4, (2 0 1); 23.1 deg, I = 49.2, (4 0 -1); 25.7 deg, I = 100.0, (1 1 -2); 34.1 deg, I = 52.5, (1 1 3); 36.8 deg, I = 22.9, (6 0 0); 38.9 deg, I = 51.2, (5 1 -3); 41.7 deg, I = 23.9, (0 2 0); 46.3 deg, I = 20.7, (6 0 -5); 48.2 deg, I = 22.7, (4 0 -6)

Atomic structure:
```
data_Tm4Te5H
_cell_length_a 15.4165
_cell_length_b 4.3307
_cell_length_c 11.5350
_cell_angle_alpha 90.00
_cell_angle_beta 108.07
_cell_angle_gamma 90.00
_symmetry_space_group_name_H-M 'C 1 2/m 1'
_symmetry_Int_Tables_number 12
loop_
_symmetry_equiv_pos_as_xyz
'x,y,z'
'-x,-y,-z'
'-x,y,-z'
'x,-y,z'
'x+1/2,y+1/2,z'
'-x+1/2,-y+1/2,-z'
'-x+1/2,y+1/2,-z'
'x+1/2,-y+1/2,z'
loop_
_atom_site_label
_atom_site_type_symbol
_atom_site_fract_x
_atom_site_fract_y
_atom_site_fract_z
_atom_site_occupancy
Tm1 Tm 0.0090 0.0000 0.3296 1
Tm2 Tm 0.1415 0.5000 0.0751 1
Te1 Te 0.0000 0.5000 0.5000 1
Te2 Te 0.1478 0.0000 0.8886 1
Te3 Te 0.1751 0.0000 0.2660 1
H1 H 0.0000 0.5000 0.0000 1
```



No. 7
Y5Te5H2: computed X-ray diffraction stick pattern (Cu Kα (λ = 1.5418 Å)), based on a crystal structure in Alexandria, relaxed with PBE.

Largest 10 diffraction maxima, sorted by position, 5° ≤ 2θ ≤ 70°:
28.8 deg, I = 12.6, (4 0 1); 29.8 deg, I = 100.0, (3 1 -1); 32.4 deg, I = 15.9, (3 1 -2); 33.6 deg, I = 22.7, (4 0 2); 34.1 deg, I = 37.0, (2 0 -4); 35.1 deg, I = 71.9, (1 1 3); 44.7 deg, I = 21.9, (0 2 0); 55.0 deg, I = 11.5, (5 1 -5); 57.1 deg, I = 13.2, (4 2 2); 57.5 deg, I = 16.2, (2 2 -4)

Atomic structure:
```
data_Y5Te5H2
_cell_length_a 13.8401
_cell_length_b 4.0508
_cell_length_c 10.7651
_cell_angle_alpha 90.00
_cell_angle_beta 99.72
_cell_angle_gamma 90.00
_symmetry_space_group_name_H-M 'C 1 2/m 1'
_symmetry_Int_Tables_number 12
loop_
_symmetry_equiv_pos_as_xyz
'x,y,z'
'-x,-y,-z'
'-x,y,-z'
'x,-y,z'
'x+1/2,y+1/2,z'
'-x+1/2,-y+1/2,-z'
'-x+1/2,y+1/2,-z'
'x+1/2,-y+1/2,z'
loop_
_atom_site_label
_atom_site_type_symbol
_atom_site_fract_x
_atom_site_fract_y
_atom_site_fract_z
_atom_site_occupancy
Y1 Y 0.0000 0.0000 0.0000 1
Y2 Y 0.1044 0.0000 0.3366 1
Y3 Y 0.1525 0.5000 0.7954 1
Te1 Te 0.0000 0.5000 0.5000 1
Te2 Te 0.1620 0.5000 0.0890 1
Te3 Te 0.2203 0.0000 0.6140 1
H1 H 0.0497 0.0000 0.8076 1
```



No. 8
Y3Te3H2: computed X-ray diffraction stick pattern (Cu Kα (λ = 1.5418 Å)), based on a crystal structure in Alexandria, relaxed with PBE.

Largest 10 diffraction maxima, sorted by position, 5° ≤ 2θ ≤ 70°:
24.3 deg, I = 44.6, (1 1 1); 27.0 deg, I = 32.1, (0 2 4); 28.8 deg, I = 33.4, (1 1 3); 32.3 deg, I = 100.0, (1 1 4); 32.7 deg, I = 98.4, (0 0 6); 33.0 deg, I = 86.8, (1 3 0); 36.9 deg, I = 56.8, (1 3 3); 45.4 deg, I = 33.1, (2 0 0); 47.1 deg, I = 45.4, (1 3 6); 57.1 deg, I = 39.6, (2 0 6)

Atomic structure:
```
data_Y3Te3H2
_cell_length_a 3.9943
_cell_length_b 11.1082
_cell_length_c 16.4402
_cell_angle_alpha 90.00
_cell_angle_beta 90.00
_cell_angle_gamma 90.00
_symmetry_space_group_name_H-M 'C m c m'
_symmetry_Int_Tables_number 63
_symmetry_space_group_name_Hall '-C 2c 2'
loop_
_atom_site_label
_atom_site_type_symbol
_atom_site_fract_x
_atom_site_fract_y
_atom_site_fract_z
_atom_site_occupancy
Y1 Y 0.0000 0.1171 0.2500 1
Y2 Y 0.0000 0.1567 0.5647 1
Te1 Te 0.0000 0.1703 0.7500 1
Te2 Te 0.0000 0.4425 0.6058 1
H1 H 0.0000 0.2678 0.0458 1
```



No. 9
YTe2H: computed X-ray diffraction stick pattern (Cu Kα (λ = 1.5418 Å)), based on a crystal structure in Alexandria, relaxed with PBE.

Largest 10 diffraction maxima, sorted by position, 5° ≤ 2θ ≤ 70°:
23.5 deg, I = 33.4, (0 1 -2); 24.3 deg, I = 33.6, (1 0 -1); 25.3 deg, I = 34.3, (1 0 1); 29.3 deg, I = 100.0, (1 -1 2); 33.0 deg, I = 55.3, (0 2 0); 33.1 deg, I = 36.5, (1 1 -1); 36.3 deg, I = 37.0, (1 0 -3); 40.2 deg, I = 51.3, (1 1 2); 43.3 deg, I = 34.2, (2 -1 0); 46.9 deg, I = 28.8, (1 0 4)

Atomic structure:
```
data_YTe2H
_cell_length_a 4.1796
_cell_length_b 5.8683
_cell_length_c 9.2901
_cell_angle_alpha 97.75
_cell_angle_beta 90.02
_cell_angle_gamma 110.85
_symmetry_space_group_name_H-M 'P 1'
_symmetry_Int_Tables_number 1
loop_
_symmetry_equiv_pos_as_xyz
'x,y,z'
loop_
_atom_site_label
_atom_site_type_symbol
_atom_site_fract_x
_atom_site_fract_y
_atom_site_fract_z
_atom_site_occupancy
Y1 Y 0.0000 0.0000 0.0000 1
Y2 Y 0.2801 0.5605 0.7306 1
Te1 Te 0.3010 0.6016 0.0600 1
Te2 Te 0.5382 0.0765 0.2547 1
Te3 Te 0.5638 0.1278 0.7607 1
Te4 Te 0.7680 0.5373 0.4737 1
H1 H 0.8525 0.7051 0.8089 1
H2 H 0.8913 0.7895 0.3877 1
```



No. 10
YTe2H: computed X-ray diffraction stick pattern (Cu Kα (λ = 1.5418 Å)), based on a crystal structure in Alexandria, relaxed with PBE.

Largest 10 diffraction maxima, sorted by position, 5° ≤ 2θ ≤ 70°:
13.8 deg, I = 40.2, (1 0 0); 22.2 deg, I = 57.4, (1 0 -2); 24.9 deg, I = 100.0, (1 1 -1); 30.2 deg, I = 62.6, (1 1 -2); 31.5 deg, I = 82.0, (1 0 2); 35.5 deg, I = 46.9, (2 1 -2); 38.8 deg, I = 54.0, (1 1 -3); 40.0 deg, I = 54.0, (2 1 1); 41.2 deg, I = 63.7, (0 2 0); 52.8 deg, I = 40.0, (1 2 2)

Atomic structure:
```
data_YTe2H
_cell_length_a 6.9464
_cell_length_b 4.3845
_cell_length_c 8.2121
_cell_angle_alpha 90.00
_cell_angle_beta 112.17
_cell_angle_gamma 90.00
_symmetry_space_group_name_H-M 'P 1 m 1'
_symmetry_Int_Tables_number 6
loop_
_symmetry_equiv_pos_as_xyz
'x,y,z'
'x,-y,z'
loop_
_atom_site_label
_atom_site_type_symbol
_atom_site_fract_x
_atom_site_fract_y
_atom_site_fract_z
_atom_site_occupancy
Y1 Y 0.0000 0.0000 0.0000 1
Y2 Y 0.1159 0.5000 0.4804 1
Te1 Te 0.2751 0.5000 0.9042 1
Te2 Te 0.3433 0.0000 0.3796 1
Te3 Te 0.7695 0.5000 0.1314 1
Te4 Te 0.8277 0.5000 0.6955 1
H1 H 0.9025 0.0000 0.5004 1
H2 H 0.9043 0.0000 0.4062 1
```



No. 11
Zr2TeH: computed X-ray diffraction stick pattern (Cu Kα (λ = 1.5418 Å)), based on a crystal structure in Alexandria, relaxed with PBE.

Largest 10 diffraction maxima, sorted by position, 5° ≤ 2θ ≤ 70°:
16.3 deg, I = 10.8, (0 2 0); 24.6 deg, I = 13.6, (0 3 0); 33.5 deg, I = 100.0, (1 0 1); 34.2 deg, I = 64.2, (0 3 1); 34.4 deg, I = 62.3, (1 3 0); 42.0 deg, I = 13.0, (1 3 1); 47.8 deg, I = 21.5, (0 0 2); 48.5 deg, I = 25.8, (2 0 0); 60.2 deg, I = 24.2, (1 3 2); 60.6 deg, I = 23.6, (2 3 1)

Atomic structure:
```
data_Zr2TeH
_cell_length_a 3.7562
_cell_length_b 10.8547
_cell_length_c 3.8058
_cell_angle_alpha 90.00
_cell_angle_beta 90.00
_cell_angle_gamma 90.00
_symmetry_space_group_name_H-M 'P m n 21'
_symmetry_Int_Tables_number 31
loop_
_symmetry_equiv_pos_as_xyz
'x,y,z'
'-x+1/2,-y,z+1/2'
'-x,y,z'
'x+1/2,-y,z+1/2'
loop_
_atom_site_label
_atom_site_type_symbol
_atom_site_fract_x
_atom_site_fract_y
_atom_site_fract_z
_atom_site_occupancy
Zr1 Zr 0.0000 0.0804 0.0000 1
Zr2 Zr 0.0000 0.7497 0.0037 1
Te1 Te 0.0000 0.3647 0.0029 1
H1 H 0.0000 0.9144 0.7392 1
```



No. 12
Th2H5: computed X-ray diffraction stick pattern (Cu Kα (λ = 1.5418 Å)), based on a crystal structure in Alexandria, relaxed with PBE.

Largest 9 diffraction maxima, sorted by position, 5° ≤ 2θ ≤ 70°:
29.0 deg, I = 100.0, (1 2 1); 30.1 deg, I = 45.2, (2 0 0); 39.9 deg, I = 10.9, (0 0 2); 43.1 deg, I = 18.1, (2 4 0); 50.8 deg, I = 22.5, (0 4 2); 52.8 deg, I = 39.7, (1 6 1); 60.2 deg, I = 13.4, (2 4 2); 62.5 deg, I = 6.0, (0 8 0); 65.9 deg, I = 10.3, (1 2 3)

Atomic structure:
```
data_Th2H5
_cell_length_a 5.9422
_cell_length_b 11.8850
_cell_length_c 4.5142
_cell_angle_alpha 90.00
_cell_angle_beta 90.00
_cell_angle_gamma 90.00
_symmetry_space_group_name_H-M 'I b a m'
_symmetry_Int_Tables_number 72
_symmetry_space_group_name_Hall '-I 2 2c'
loop_
_atom_site_label
_atom_site_type_symbol
_atom_site_fract_x
_atom_site_fract_y
_atom_site_fract_z
_atom_site_occupancy
Th1 Th 0.2451 0.1234 0.0000 1
H1 H 0.0000 0.2492 0.2500 1
H2 H 0.0000 0.5000 0.2500 1
H3 H 0.1381 0.0686 0.5000 1
```



No. 13
Th8H: computed X-ray diffraction stick pattern (Cu Kα (λ = 1.5418 Å)), based on a crystal structure in Alexandria, relaxed with PBE.

Largest 10 diffraction maxima, sorted by position, 5° ≤ 2θ ≤ 70°:
29.0 deg, I = 22.6, (2 0 0); 29.8 deg, I = 28.0, (0 0 2); 32.7 deg, I = 100.0, (2 0 1); 42.1 deg, I = 17.0, (0 2 2); 51.3 deg, I = 19.3, (2 2 0); 54.8 deg, I = 23.8, (2 0 3); 60.5 deg, I = 23.7, (2 2 2); 62.2 deg, I = 16.4, (0 4 1); 68.5 deg, I = 4.1, (4 0 2); 69.8 deg, I = 3.9, (0 2 4)

Atomic structure:
```
data_Th8H
_cell_length_a 7.1174
_cell_length_b 7.1174
_cell_length_c 5.9885
_cell_angle_alpha 90.00
_cell_angle_beta 90.00
_cell_angle_gamma 120.00
_symmetry_space_group_name_H-M 'P -3 m 1'
_symmetry_Int_Tables_number 164
_symmetry_space_group_name_Hall '-P 3 2"'
loop_
_atom_site_label
_atom_site_type_symbol
_atom_site_fract_x
_atom_site_fract_y
_atom_site_fract_z
_atom_site_occupancy
Th1 Th 0.1676 0.3352 0.2473 1
Th2 Th 0.3333 0.6667 0.7439 1
H1 H 0.0000 0.0000 0.5000 1
```